The following is a computed powder XRD pattern of LiHS. It was derived from a DFT-relaxed cell (GGA-PBE, Alexandria), using Cu Kα, 1.54184 Å.

Main lines, low angle first (10° ≤ 2θ ≤ 80°):
(hkl)  d (Å)  2θ (°)  I_rel
1 0 2  3.328  26.79  100
2 0 0  3.093  28.87  16
0 1 2  2.791  32.06  19
2 1 2  2.072  43.68  28
0 0 4  1.974  45.98  12
3 0 2  1.828  49.90  15
1 1 4  1.698  54.02  20
2 0 4  1.664  55.21  7
3 1 4  1.341  70.18  9
4 0 4  1.217  78.59  5

Crystal structure
a = 6.1855 Å, b = 3.9478 Å, c = 7.8947 Å
α = 90.00°, β = 90.00°, γ = 90.00°
Sites, in units of the cell vectors:
Li  0.2500  0.0011  0.0000
Li  0.2500  0.9989  0.5000
Li  0.7500  0.0011  0.0000
Li  0.7500  0.9989  0.5000
H  0.0000  0.3741  0.2501
H  0.0000  0.6259  0.7501
H  0.5000  0.4962  0.3152
H  0.5000  0.5038  0.8152
S  0.0000  0.0319  0.2490
S  0.0000  0.9681  0.7490
S  0.5000  0.4993  0.4863
S  0.5000  0.5007  0.9863